LiNiP3O9: theoretical PXRD pattern (λ = 1.5418 Å (Cu Kα)), based on a DFT-relaxed cell (GGA+U, Alexandria).

Cell and atoms:
```
LiNiP3O9
1.0
6.500 0.000 0.000
-0.133 6.849 0.000
-0.345 -1.564 7.129
Li Ni P O
2 2 6 18
Direct
0.145 0.087 0.327
0.855 0.913 0.673
0.145 0.592 0.362
0.855 0.408 0.638
0.138 0.721 0.952
0.343 0.391 0.714
0.344 0.947 0.706
0.656 0.053 0.294
0.657 0.609 0.286
0.862 0.279 0.048
0.054 0.316 0.177
0.116 0.773 0.161
0.168 0.403 0.568
0.170 0.870 0.559
0.279 0.896 0.904
0.283 0.531 0.910
0.322 0.184 0.775
0.441 0.106 0.332
0.444 0.558 0.325
0.556 0.442 0.675
0.559 0.894 0.668
0.678 0.816 0.225
0.717 0.469 0.090
0.721 0.104 0.096
0.830 0.130 0.441
0.832 0.597 0.432
0.884 0.227 0.839
0.946 0.684 0.823
```

Main lines, low angle first (5° ≤ 2θ ≤ 70°):
2θ/deg  I_rel  h k l
13.2  812  0 1 0
18.8  1000  1 -1 0
25.0  519  1 1 1
28.7  674  1 1 -2
29.2  471  1 0 2
29.6  670  2 0 -1
30.2  356  2 -1 0
30.9  576  2 0 1
31.9  937  0 2 1
32.5  909  0 2 -2
43.0  346  3 0 -1
53.5  373  0 4 -1